Record 1
Simulated PXRD pattern of CsNdMo2O8 for Cu Kα (weighted mean of Kα1 and Kα2), from a structure optimized by DFT (GGA+U).
Kinematic intensities with the Lorentz-polarization factor, no thermal factor.

Main lines, in order of rising 2θ (15 to 90 degrees two-theta):
2θ/deg, I_rel
24.8, 74
27.1, 100
28.0, 22
34.7, 11
42.4, 12
44.6, 15
45.1, 22
49.3, 10
50.3, 11
55.9, 10

Structural model:
Cell: 9.951 5.175 8.522 Å, 90.00 91.77 90.00°
Element x y z (fractional)
Cs 0.000 0.032 0.250
Cs 0.000 0.968 0.750
Nd 0.500 0.004 0.750
Nd 0.500 0.996 0.250
Mo 0.307 0.478 0.492
Mo 0.307 0.522 0.992
Mo 0.693 0.478 0.008
Mo 0.693 0.522 0.508
O 0.145 0.388 0.984
O 0.145 0.612 0.484
O 0.315 0.266 0.661
O 0.315 0.734 0.161
O 0.318 0.267 0.324
O 0.318 0.733 0.824
O 0.431 0.254 0.997
O 0.431 0.746 0.497
O 0.569 0.254 0.503
O 0.569 0.746 0.003
O 0.682 0.267 0.176
O 0.682 0.733 0.676
O 0.685 0.266 0.839
O 0.685 0.734 0.339
O 0.855 0.388 0.516
O 0.855 0.612 0.016

Record 2
Simulated PXRD pattern of CsNpMoO7 for Cu Kα (weighted mean of Kα1 and Kα2), from a structure optimized by DFT (GGA+U).
Kinematic intensities with the Lorentz-polarization factor, no thermal factor.

Main lines, in order of rising 2θ (15 to 90 degrees two-theta):
2θ/deg, I_rel
16.6, 100
21.7, 15
25.1, 23
25.3, 33
27.1, 26
27.6, 58
28.8, 28
29.2, 16
29.6, 22
44.5, 25

Structural model:
Cell: 9.449 8.199 10.544 Å, 90.00 90.00 90.00°
Element x y z (fractional)
Cs 0.250 0.000 0.067
Cs 0.250 0.500 0.433
Cs 0.750 0.000 0.933
Cs 0.750 0.500 0.567
Np 0.069 0.250 0.750
Np 0.431 0.750 0.750
Np 0.569 0.250 0.250
Np 0.931 0.750 0.250
Mo 0.250 0.000 0.454
Mo 0.250 0.500 0.046
Mo 0.750 0.000 0.546
Mo 0.750 0.500 0.954
O 0.053 0.061 0.840
O 0.053 0.439 0.660
O 0.135 0.121 0.550
O 0.135 0.379 0.950
O 0.149 0.637 0.145
O 0.149 0.863 0.355
O 0.233 0.750 0.750
O 0.267 0.250 0.750
O 0.351 0.137 0.355
O 0.351 0.363 0.145
O 0.365 0.621 0.950
O 0.365 0.879 0.550
O 0.447 0.561 0.660
O 0.447 0.939 0.840
O 0.553 0.061 0.160
O 0.553 0.439 0.340
O 0.635 0.121 0.450
O 0.635 0.379 0.050
O 0.649 0.637 0.855
O 0.649 0.863 0.645
O 0.733 0.750 0.250
O 0.767 0.250 0.250
O 0.851 0.137 0.645
O 0.851 0.363 0.855
O 0.865 0.621 0.050
O 0.865 0.879 0.450
O 0.947 0.561 0.340
O 0.947 0.939 0.160

Record 3
Simulated PXRD pattern of Cs2Mo5O16 for Cu Kα (weighted mean of Kα1 and Kα2), from a structure optimized by DFT (GGA+U).
Kinematic intensities with the Lorentz-polarization factor, no thermal factor.

Main lines, in order of rising 2θ (15 to 90 degrees two-theta):
2θ/deg, I_rel
19.6, 12
19.9, 18
24.8, 100
25.5, 20
26.0, 61
27.6, 32
29.4, 32
32.1, 18
45.2, 25
48.7, 13

Structural model:
Cell: 11.453 11.453 14.748 Å, 121.23 121.23 28.89°
Element x y z (fractional)
Cs 0.054 0.383 0.333
Cs 0.383 0.054 0.833
Cs 0.617 0.946 0.167
Cs 0.946 0.617 0.667
Mo 0.112 0.673 0.038
Mo 0.125 0.875 0.750
Mo 0.269 0.610 0.395
Mo 0.327 0.888 0.462
Mo 0.390 0.731 0.105
Mo 0.610 0.269 0.895
Mo 0.673 0.112 0.538
Mo 0.731 0.390 0.605
Mo 0.875 0.125 0.250
Mo 0.888 0.327 0.962
O 0.030 0.826 0.463
O 0.037 0.336 0.084
O 0.069 0.125 0.366
O 0.125 0.069 0.866
O 0.174 0.808 0.341
O 0.174 0.970 0.037
O 0.192 0.826 0.159
O 0.226 0.480 0.284
O 0.283 0.659 0.813
O 0.317 0.415 0.083
O 0.336 0.037 0.584
O 0.341 0.717 0.687
O 0.345 0.545 0.984
O 0.415 0.317 0.583
O 0.455 0.655 0.516
O 0.480 0.226 0.784
O 0.520 0.774 0.216
O 0.545 0.345 0.484
O 0.585 0.683 0.417
O 0.655 0.455 0.016
O 0.659 0.283 0.313
O 0.664 0.963 0.416
O 0.683 0.585 0.917
O 0.717 0.341 0.187
O 0.774 0.520 0.716
O 0.808 0.174 0.841
O 0.826 0.030 0.963
O 0.826 0.192 0.659
O 0.875 0.931 0.134
O 0.931 0.875 0.634
O 0.963 0.664 0.916
O 0.970 0.174 0.537

Record 4
Simulated PXRD pattern of CsMoO3 for Cu Kα (weighted mean of Kα1 and Kα2), from a structure optimized by DFT (GGA+U).
Kinematic intensities with the Lorentz-polarization factor, no thermal factor.

Main lines, in order of rising 2θ (15 to 90 degrees two-theta):
2θ/deg, I_rel
30.6, 100
37.7, 5
43.8, 31
54.4, 39
63.7, 19
72.3, 17
76.4, 2
80.5, 6
88.5, 21

Structural model:
Cell: 4.133 4.133 4.133 Å, 90.00 90.00 90.00°
Element x y z (fractional)
Cs 0.000 0.000 0.000
Mo 0.500 0.500 0.500
O 0.000 0.500 0.500
O 0.500 0.000 0.500
O 0.500 0.500 0.000

Record 5
Simulated PXRD pattern of Cs2Mo3O10 for Cu Kα (weighted mean of Kα1 and Kα2), from a structure optimized by DFT (GGA+U).
Kinematic intensities with the Lorentz-polarization factor, no thermal factor.

Main lines, in order of rising 2θ (15 to 90 degrees two-theta):
2θ/deg, I_rel
20.7, 33
22.6, 100
23.8, 82
25.0, 100
28.5, 55
29.3, 46
29.5, 47
32.1, 39
38.5, 35
43.2, 50

Structural model:
Cell: 8.589 8.589 9.711 Å, 96.54 96.54 60.43°
Element x y z (fractional)
Cs 0.099 0.257 0.160
Cs 0.257 0.099 0.660
Cs 0.743 0.901 0.340
Cs 0.901 0.743 0.840
Mo 0.231 0.769 0.250
Mo 0.327 0.465 0.474
Mo 0.465 0.327 0.974
Mo 0.535 0.673 0.026
Mo 0.673 0.535 0.526
Mo 0.769 0.231 0.750
O 0.056 0.850 0.122
O 0.150 0.944 0.378
O 0.173 0.549 0.602
O 0.173 0.594 0.316
O 0.247 0.368 0.922
O 0.368 0.247 0.422
O 0.406 0.547 0.095
O 0.406 0.827 0.184
O 0.451 0.827 0.898
O 0.453 0.594 0.405
O 0.547 0.406 0.595
O 0.549 0.173 0.102
O 0.594 0.173 0.816
O 0.594 0.453 0.905
O 0.632 0.753 0.578
O 0.753 0.632 0.078
O 0.827 0.406 0.684
O 0.827 0.451 0.398
O 0.850 0.056 0.622
O 0.944 0.150 0.878